Entry 1:
The following is a calculated powder diffraction line list of La8Cd. It was derived from a PBE-relaxed structure, using a wavelength of 1.5418 Å.

```
data_La8Cd
_cell_length_a 6.2956
_cell_length_b 6.3245
_cell_length_c 8.9912
_cell_angle_alpha 89.87
_cell_angle_beta 89.45
_cell_angle_gamma 60.15
_space_group_name_H-M_alt 'P -1'
_space_group_IT_number 2
loop_
_space_group_symop_operation_xyz
'x,y,z'
'-x,-y,-z'
loop_
_atom_site_label
_atom_site_type_symbol
_atom_site_fract_x
_atom_site_fract_y
_atom_site_fract_z
La1 La 0.0026 0.1734 0.3284
La2 La 0.3193 0.1782 0.6711
La3 La 0.3344 0.4991 0.3288
La4 La 0.3366 0.8208 0.0001
Cd1 Cd 0.0000 0.5000 0.0000
```

Peak list (10 most intense, 2θ from 10° to 80°, by intensity)
2θ/deg  I/Imax
30.00  100
34.60  46
29.81  34
34.95  22
49.85  16
50.12  16
59.09  14
59.24  9
59.30  9
59.72  9


Entry 2:
The following is a calculated powder diffraction line list of Ac8Ni2Pb3. It was derived from a PBE-relaxed structure, using a wavelength of 1.5418 Å.

```
data_Ac8Ni2Pb3
_cell_length_a 7.4338
_cell_length_b 7.4338
_cell_length_c 31.4549
_cell_angle_alpha 90.00
_cell_angle_beta 90.00
_cell_angle_gamma 120.00
_space_group_name_H-M_alt 'R -3 m'
_space_group_IT_number 166
_space_group_name_Hall '-R 3 2"'
loop_
_atom_site_label
_atom_site_type_symbol
_atom_site_fract_x
_atom_site_fract_y
_atom_site_fract_z
Ac1 Ac 0.0000 0.0000 0.1945
Ac2 Ac 0.0124 0.5062 0.2728
Ni1 Ni 0.0000 0.0000 0.1102
Pb1 Pb 0.0000 0.0000 0.3002
Pb2 Pb 0.0000 0.0000 0.5000
```

Peak list (10 most intense, 2θ from 10° to 80°, by intensity)
2θ/deg  I/Imax
28.30  100
30.00  58
25.46  54
49.02  49
31.66  42
29.46  37
31.21  37
23.94  30
42.26  28
46.98  25